No. 1
Structure and theoretical XRD peak list of Mg9Si5 (a structure optimized by DFT (GGA-PBE); CuKα).
Peak positions follow from Bragg's law for the DFT cell and can differ from measured ones.

Peak list (10 most intense, 2θ from 15° to 90°, by angle)
d (Å)  I/Imax
2.817  100
2.689  92
2.528  94
2.371  51
2.357  42
2.347  51
2.332  46
2.142  69
2.079  98
2.068  70

```
data_Mg9Si5
_space_group_name_H-M_alt 'P 1'
_space_group_IT_number 1
_cell_length_a 7.187
_cell_length_b 7.188
_cell_length_c 13.232
_cell_angle_alpha 76.99
_cell_angle_beta 87.50
_cell_angle_gamma 60.57
loop_
_space_group_symop_operation_xyz
'x,y,z'
loop_
_atom_site_label
_atom_site_fract_x
_atom_site_fract_y
_atom_site_fract_z
_atom_site_occupancy
Mg1 0.000 0.000 0.000 1
Mg2 0.016 0.486 0.511 1
Mg3 0.100 0.307 0.824 1
Mg4 0.138 0.530 0.986 1
Mg5 0.194 0.112 0.192 1
Mg6 0.243 0.969 0.510 1
Mg7 0.272 0.674 0.351 1
Mg8 0.318 0.809 0.827 1
Mg9 0.359 0.487 0.679 1
Mg10 0.467 0.369 0.190 1
Mg11 0.483 0.955 0.999 1
Mg12 0.524 0.218 0.503 1
Mg13 0.601 0.887 0.353 1
Mg14 0.675 0.763 0.651 1
Mg15 0.778 0.444 0.070 1
Mg16 0.818 0.357 0.351 1
Mg17 0.878 0.175 0.671 1
Mg18 0.933 0.684 0.188 1
Si1 0.228 0.308 0.345 1
Si2 0.296 0.140 0.663 1
Si3 0.534 0.714 0.197 1
Si4 0.570 0.276 0.992 1
Si5 0.598 0.554 0.515 1
Si6 0.681 0.400 0.829 1
Si7 0.743 0.678 0.874 1
Si8 0.877 0.024 0.267 1
Si9 0.917 0.913 0.467 1
Si10 0.991 0.752 0.770 1
```

---

No. 2
Structure and theoretical XRD peak list of B2PPt11 (a structure optimized by DFT (GGA-PBE); CuKα).
Peak positions follow from Bragg's law for the DFT cell and can differ from measured ones.

Peak list (10 most intense, 2θ from 15° to 90°, by angle)
d (Å)  I/Imax
4.221  19
4.119  29
2.623  100
2.574  38
2.398  37
2.247  30
2.128  50
2.060  27
2.022  48
1.953  64

```
data_B2PPt11
_space_group_name_H-M_alt 'P 1'
_space_group_IT_number 1
_cell_length_a 8.515
_cell_length_b 8.515
_cell_length_c 8.515
_cell_angle_alpha 120.57
_cell_angle_beta 105.61
_cell_angle_gamma 102.84
loop_
_space_group_symop_operation_xyz
'x,y,z'
loop_
_atom_site_label
_atom_site_fract_x
_atom_site_fract_y
_atom_site_fract_z
_atom_site_occupancy
B1 0.181 0.137 0.318 1
B2 0.319 0.637 0.956 1
B3 0.681 0.363 0.044 1
B4 0.819 0.863 0.682 1
P1 0.250 0.750 0.500 1
P2 0.750 0.250 0.500 1
Pt1 0.000 0.000 0.000 1
Pt2 0.040 0.461 0.838 1
Pt3 0.087 0.862 0.689 1
Pt4 0.123 0.961 0.420 1
Pt5 0.173 0.398 0.311 1
Pt6 0.241 0.886 0.127 1
Pt7 0.259 0.386 0.645 1
Pt8 0.327 0.638 0.226 1
Pt9 0.377 0.798 0.838 1
Pt10 0.413 0.102 0.774 1
Pt11 0.460 0.298 0.420 1
Pt12 0.500 0.500 0.000 1
Pt13 0.540 0.702 0.580 1
Pt14 0.587 0.898 0.226 1
Pt15 0.623 0.202 0.162 1
Pt16 0.673 0.362 0.774 1
Pt17 0.741 0.614 0.355 1
Pt18 0.759 0.114 0.873 1
Pt19 0.827 0.602 0.689 1
Pt20 0.877 0.039 0.580 1
Pt21 0.913 0.138 0.311 1
Pt22 0.960 0.539 0.162 1
```

---

No. 3
Structure and theoretical XRD peak list of ScGa6 (a structure optimized by DFT (GGA-PBE); CuKα).
Peak positions follow from Bragg's law for the DFT cell and can differ from measured ones.

Peak list (10 most intense, 2θ from 15° to 90°, by angle)
d (Å)  I/Imax
4.937  53
3.491  43
2.850  100
2.015  52
1.866  56
1.745  36
1.561  15
1.275  15
1.234  22
1.133  15

```
data_ScGa6
_space_group_name_H-M_alt 'P 1'
_space_group_IT_number 1
_cell_length_a 6.982
_cell_length_b 6.982
_cell_length_c 6.982
_cell_angle_alpha 90.00
_cell_angle_beta 90.00
_cell_angle_gamma 90.00
loop_
_space_group_symop_operation_xyz
'x,y,z'
loop_
_atom_site_label
_atom_site_fract_x
_atom_site_fract_y
_atom_site_fract_z
_atom_site_occupancy
Sc1 0.000 0.000 0.000 1
Sc2 0.500 0.500 0.500 1
Ga1 0.000 0.250 0.500 1
Ga2 0.000 0.500 0.250 1
Ga3 0.000 0.500 0.750 1
Ga4 0.000 0.750 0.500 1
Ga5 0.250 0.000 0.500 1
Ga6 0.250 0.500 0.000 1
Ga7 0.500 0.000 0.250 1
Ga8 0.500 0.000 0.750 1
Ga9 0.500 0.250 0.000 1
Ga10 0.500 0.750 0.000 1
Ga11 0.750 0.000 0.500 1
Ga12 0.750 0.500 0.000 1
```

---

No. 4
Structure and theoretical XRD peak list of Cs2SbSI6 (a structure optimized by DFT (GGA-PBE); CuKα).
Peak positions follow from Bragg's law for the DFT cell and can differ from measured ones.

Peak list (10 most intense, 2θ from 15° to 90°, by angle)
d (Å)  I/Imax
3.465  100
3.035  66
2.935  30
2.146  24
2.110  46
1.825  32
1.780  14
1.733  25
1.370  13
1.232  16

```
data_Cs2SbSI6
_space_group_name_H-M_alt 'P 1'
_space_group_IT_number 1
_cell_length_a 8.445
_cell_length_b 8.445
_cell_length_c 8.445
_cell_angle_alpha 118.89
_cell_angle_beta 118.89
_cell_angle_gamma 91.92
loop_
_space_group_symop_operation_xyz
'x,y,z'
loop_
_atom_site_label
_atom_site_fract_x
_atom_site_fract_y
_atom_site_fract_z
_atom_site_occupancy
Cs1 0.250 0.750 0.500 1
Cs2 0.750 0.250 0.500 1
Sb1 0.000 0.000 0.000 1
S1 0.500 0.500 0.000 1
I1 0.248 0.248 0.495 1
I2 0.248 0.752 0.000 1
I3 0.258 0.258 0.000 1
I4 0.742 0.742 0.000 1
I5 0.752 0.248 0.000 1
I6 0.752 0.752 0.505 1
```